Structure and calculated powder XRD pattern of Rb2SnI2Cl2 (a PBE-relaxed structure; CuKα).

Most intense lines, 10° ≤ 2θ ≤ 90°, in order of rising 2θ:
two_theta  I_rel
22.46  1000
28.47  294
28.59  646
31.97  706
36.56  297
43.38  777

Structure:
```
data_Rb2SnI2Cl2
_chemical_formula_sum 'Rb4 Sn2 I4 Cl4'
_symmetry_space_group_name_H-M 'I 4/m m m'
_symmetry_Int_Tables_number 139
_symmetry_space_group_name_Hall '-I 4 2'
_cell_length_a 5.598
_cell_length_b 5.598
_cell_length_c 18.810
_cell_angle_alpha 90.00
_cell_angle_beta 90.00
_cell_angle_gamma 90.00
loop_
_atom_site_label
_atom_site_type_symbol
_atom_site_fract_x
_atom_site_fract_y
_atom_site_fract_z
Rb1 Rb 0.000 0.000 0.131
Sn1 Sn 0.000 0.000 0.500
I1 I 0.000 0.000 0.331
Cl1 Cl 0.000 0.500 0.000
```